Record 1
Diffraction record for LiTi3Sb. The X-ray powder pattern is computed, not measured: it uses a DFT-relaxed cell (GGA-PBE, Alexandria) and λ = 1.5418 Å (Cu Kα).

Structure:
Unit cell a=4.441 b=4.441 c=4.441 alpha=90.00 beta=90.00 gamma=90.00
Element x y z (fractional)
Li: 0.000 0.000 0.000
Ti: 0.000 0.000 0.500
Ti: 0.000 0.500 0.000
Ti: 0.500 0.000 0.000
Sb: 0.500 0.500 0.500

Largest 10 diffraction maxima, in order of rising 2θ, 2θ = 10–80°:
2θ = 19.99°, intensity 20; 2θ = 28.42°, intensity 24; 2θ = 34.99°, intensity 100; 2θ = 40.63°, intensity 53; 2θ = 45.68°, intensity 10; 2θ = 50.32°, intensity 10; 2θ = 58.81°, intensity 33; 2θ = 62.76°, intensity 5; 2θ = 70.30°, intensity 35; 2θ = 73.92°, intensity 11

***

Record 2
Diffraction record for Li11TiSb5. The X-ray powder pattern is computed, not measured: it uses a DFT-relaxed cell (GGA-PBE, Alexandria) and λ = 1.5418 Å (Cu Kα).

Structure:
Unit cell a=7.946 b=7.946 c=11.337 alpha=116.69 beta=116.69 gamma=33.42
Element x y z (fractional)
Li: 0.000 0.000 0.000
Li: 0.000 0.000 0.493
Li: 0.187 0.187 0.763
Li: 0.195 0.195 0.010
Li: 0.217 0.217 0.284
Li: 0.404 0.404 0.830
Li: 0.405 0.405 0.080
Li: 0.409 0.409 0.580
Li: 0.598 0.598 0.858
Li: 0.792 0.792 0.672
Li: 0.820 0.820 0.185
Ti: 0.601 0.601 0.370
Sb: 0.193 0.193 0.511
Sb: 0.416 0.416 0.331
Sb: 0.611 0.611 0.138
Sb: 0.797 0.797 0.924
Sb: 0.993 0.993 0.743

Largest 10 diffraction maxima, in order of rising 2θ, 2θ = 10–80°:
2θ = 23.60°, intensity 100; 2θ = 26.73°, intensity 14; 2θ = 27.61°, intensity 25; 2θ = 38.74°, intensity 18; 2θ = 38.87°, intensity 18; 2θ = 39.44°, intensity 18; 2θ = 45.33°, intensity 12; 2θ = 46.46°, intensity 24; 2θ = 46.53°, intensity 7; 2θ = 62.58°, intensity 7

***

Record 3
Diffraction record for LiTl5Sb4. The X-ray powder pattern is computed, not measured: it uses a DFT-relaxed cell (GGA-PBE, Alexandria) and λ = 1.5418 Å (Cu Kα).

Structure:
Unit cell a=9.106 b=9.106 c=9.102 alpha=113.78 beta=113.78 gamma=26.98
Element x y z (fractional)
Li: 0.000 0.000 0.000
Tl: 0.000 0.000 0.500
Tl: 0.329 0.329 0.364
Tl: 0.341 0.341 0.762
Tl: 0.659 0.659 0.238
Tl: 0.671 0.671 0.636
Sb: 0.167 0.167 0.954
Sb: 0.466 0.466 0.199
Sb: 0.534 0.534 0.801
Sb: 0.833 0.833 0.046

Largest 10 diffraction maxima, in order of rising 2θ, 2θ = 10–80°:
2θ = 26.13°, intensity 51; 2θ = 26.76°, intensity 33; 2θ = 29.53°, intensity 65; 2θ = 31.41°, intensity 43; 2θ = 32.28°, intensity 100; 2θ = 33.36°, intensity 52; 2θ = 34.49°, intensity 75; 2θ = 42.56°, intensity 35; 2θ = 52.65°, intensity 29; 2θ = 55.13°, intensity 28

***

Record 4
Diffraction record for Li4TmSb2. The X-ray powder pattern is computed, not measured: it uses a DFT-relaxed cell (GGA-PBE, Alexandria) and λ = 1.5418 Å (Cu Kα).

Structure:
Unit cell a=8.398 b=8.398 c=8.398 alpha=31.25 beta=31.25 gamma=31.25
Element x y z (fractional)
Li: 0.072 0.072 0.072
Li: 0.361 0.361 0.361
Li: 0.639 0.639 0.639
Li: 0.928 0.928 0.928
Tm: 0.500 0.500 0.500
Sb: 0.242 0.242 0.242
Sb: 0.758 0.758 0.758

Largest 10 diffraction maxima, in order of rising 2θ, 2θ = 10–80°:
2θ = 11.09°, intensity 60; 2θ = 23.00°, intensity 23; 2θ = 27.20°, intensity 100; 2θ = 34.82°, intensity 24; 2θ = 37.83°, intensity 41; 2θ = 39.85°, intensity 43; 2θ = 41.49°, intensity 15; 2θ = 48.92°, intensity 20; 2θ = 62.02°, intensity 17; 2θ = 64.86°, intensity 17

***

Record 5
Diffraction record for LiSb2W. The X-ray powder pattern is computed, not measured: it uses a DFT-relaxed cell (GGA-PBE, Alexandria) and λ = 1.5418 Å (Cu Kα).

Structure:
Unit cell a=4.795 b=4.795 c=4.795 alpha=60.00 beta=60.00 gamma=60.00
Element x y z (fractional)
Li: 0.000 0.000 0.000
Sb: 0.250 0.250 0.250
Sb: 0.750 0.750 0.750
W: 0.500 0.500 0.500

Largest 10 diffraction maxima, in order of rising 2θ, 2θ = 10–80°:
2θ = 22.71°, intensity 40; 2θ = 26.28°, intensity 2; 2θ = 37.51°, intensity 100; 2θ = 44.30°, intensity 21; 2θ = 46.38°, intensity 1; 2θ = 54.09°, intensity 17; 2θ = 59.41°, intensity 9; 2θ = 61.11°, intensity 1; 2θ = 67.68°, intensity 35; 2θ = 72.41°, intensity 7

***

Record 6
Diffraction record for LiSb2W. The X-ray powder pattern is computed, not measured: it uses a DFT-relaxed cell (GGA-PBE, Alexandria) and λ = 1.5418 Å (Cu Kα).

Structure:
Unit cell a=3.769 b=3.769 c=5.548 alpha=90.00 beta=90.00 gamma=90.00
Element x y z (fractional)
Li: 0.000 0.000 0.000
Sb: 0.000 0.000 0.522
Sb: 0.500 0.500 0.181
W: 0.500 0.500 0.702

Largest 10 diffraction maxima, in order of rising 2θ, 2θ = 10–80°:
2θ = 15.98°, intensity 33; 2θ = 23.61°, intensity 41; 2θ = 28.63°, intensity 25; 2θ = 32.27°, intensity 19; 2θ = 33.63°, intensity 100; 2θ = 37.44°, intensity 16; 2θ = 40.37°, intensity 98; 2θ = 47.30°, intensity 26; 2θ = 48.29°, intensity 36; 2θ = 64.71°, intensity 48

***

Record 7
Diffraction record for Li4YSb2. The X-ray powder pattern is computed, not measured: it uses a DFT-relaxed cell (GGA-PBE, Alexandria) and λ = 1.5418 Å (Cu Kα).

Structure:
Unit cell a=8.475 b=8.475 c=8.475 alpha=31.10 beta=31.10 gamma=31.10
Element x y z (fractional)
Li: 0.072 0.072 0.072
Li: 0.361 0.361 0.361
Li: 0.639 0.639 0.639
Li: 0.928 0.928 0.928
Y: 0.500 0.500 0.500
Sb: 0.244 0.244 0.244
Sb: 0.756 0.756 0.756

Largest 10 diffraction maxima, in order of rising 2θ, 2θ = 10–80°:
2θ = 10.98°, intensity 30; 2θ = 23.78°, intensity 29; 2θ = 27.04°, intensity 100; 2θ = 34.55°, intensity 16; 2θ = 37.52°, intensity 42; 2θ = 39.67°, intensity 44; 2θ = 48.66°, intensity 19; 2θ = 55.75°, intensity 13; 2θ = 61.52°, intensity 18; 2θ = 64.52°, intensity 16

***

Record 8
Diffraction record for Li5Y2Sb4. The X-ray powder pattern is computed, not measured: it uses a DFT-relaxed cell (GGA-PBE, Alexandria) and λ = 1.5418 Å (Cu Kα).

Structure:
Unit cell a=8.400 b=8.400 c=7.843 alpha=117.24 beta=117.24 gamma=31.00
Element x y z (fractional)
Li: 0.000 0.000 0.000
Li: 0.091 0.091 0.778
Li: 0.502 0.502 0.557
Li: 0.583 0.583 0.274
Li: 0.935 0.935 0.289
Y: 0.264 0.264 0.284
Y: 0.761 0.761 0.781
Sb: 0.138 0.138 0.492
Sb: 0.386 0.386 0.064
Sb: 0.639 0.639 0.996
Sb: 0.888 0.888 0.580

Largest 10 diffraction maxima, in order of rising 2θ, 2θ = 10–80°:
2θ = 12.43°, intensity 15; 2θ = 26.02°, intensity 100; 2θ = 26.13°, intensity 10; 2θ = 34.01°, intensity 21; 2θ = 34.20°, intensity 26; 2θ = 39.91°, intensity 29; 2θ = 40.17°, intensity 15; 2θ = 44.81°, intensity 17; 2θ = 48.51°, intensity 12; 2θ = 64.36°, intensity 10

***

Record 9
Diffraction record for LiSc. The X-ray powder pattern is computed, not measured: it uses a DFT-relaxed cell (GGA-PBE, Alexandria) and λ = 1.5418 Å (Cu Kα).

Structure:
Unit cell a=5.587 b=5.587 c=5.587 alpha=32.61 beta=32.61 gamma=32.61
Element x y z (fractional)
Li: 0.000 0.000 0.000
Sc: 0.500 0.500 0.500

Largest 10 diffraction maxima, in order of rising 2θ, 2θ = 10–80°:
2θ = 16.78°, intensity 100; 2θ = 33.46°, intensity 50; 2θ = 33.92°, intensity 25; 2θ = 34.91°, intensity 70; 2θ = 40.24°, intensity 46; 2θ = 43.88°, intensity 22; 2θ = 57.57°, intensity 15; 2θ = 58.88°, intensity 14; 2θ = 61.69°, intensity 14; 2θ = 69.72°, intensity 16

***

Record 10
Diffraction record for LiSc. The X-ray powder pattern is computed, not measured: it uses a DFT-relaxed cell (GGA-PBE, Alexandria) and λ = 1.5418 Å (Cu Kα).

Structure:
Unit cell a=3.236 b=3.236 c=10.097 alpha=90.00 beta=90.00 gamma=120.00
Element x y z (fractional)
Li: 0.333 0.667 0.118
Li: 0.667 0.333 0.882
Sc: 0.333 0.667 0.625
Sc: 0.667 0.333 0.375

Largest 10 diffraction maxima, in order of rising 2θ, 2θ = 10–80°:
2θ = 26.48°, intensity 18; 2θ = 31.94°, intensity 25; 2θ = 33.18°, intensity 57; 2θ = 35.56°, intensity 24; 2θ = 36.68°, intensity 100; 2θ = 41.95°, intensity 27; 2θ = 48.54°, intensity 14; 2θ = 56.92°, intensity 17; 2θ = 64.60°, intensity 18; 2θ = 68.94°, intensity 18

***

Record 11
Diffraction record for LiSc5. The X-ray powder pattern is computed, not measured: it uses a DFT-relaxed cell (GGA-PBE, Alexandria) and λ = 1.5418 Å (Cu Kα).

Structure:
Unit cell a=5.645 b=5.645 c=5.171 alpha=90.00 beta=90.00 gamma=120.00
Element x y z (fractional)
Li: 0.000 0.000 0.000
Sc: 0.000 0.672 0.500
Sc: 0.328 0.328 0.500
Sc: 0.333 0.667 0.000
Sc: 0.667 0.333 0.000
Sc: 0.672 0.000 0.500

Largest 10 diffraction maxima, in order of rising 2θ, 2θ = 10–80°:
2θ = 18.15°, intensity 11; 2θ = 25.07°, intensity 13; 2θ = 31.70°, intensity 27; 2θ = 34.69°, intensity 25; 2θ = 36.26°, intensity 100; 2θ = 47.70°, intensity 15; 2θ = 56.47°, intensity 16; 2θ = 63.21°, intensity 17; 2θ = 68.00°, intensity 17; 2θ = 68.97°, intensity 13

***

Record 12
Diffraction record for Li3Sc. The X-ray powder pattern is computed, not measured: it uses a DFT-relaxed cell (GGA-PBE, Alexandria) and λ = 1.5418 Å (Cu Kα).

Structure:
Unit cell a=10.307 b=10.307 c=10.307 alpha=17.44 beta=17.44 gamma=17.44
Element x y z (fractional)
Li: 0.000 0.000 0.000
Li: 0.253 0.253 0.253
Li: 0.747 0.747 0.747
Sc: 0.500 0.500 0.500

Largest 10 diffraction maxima, in order of rising 2θ, 2θ = 10–80°:
2θ = 17.48°, intensity 91; 2θ = 26.35°, intensity 35; 2θ = 33.23°, intensity 52; 2θ = 33.63°, intensity 50; 2θ = 35.19°, intensity 100; 2θ = 35.38°, intensity 33; 2θ = 36.32°, intensity 41; 2θ = 39.20°, intensity 29; 2θ = 40.91°, intensity 64; 2θ = 70.81°, intensity 22

***

Record 13
Diffraction record for Li3Sc5Se8. The X-ray powder pattern is computed, not measured: it uses a DFT-relaxed cell (GGA-PBE, Alexandria) and λ = 1.5418 Å (Cu Kα).

Structure:
Unit cell a=7.753 b=7.753 c=7.753 alpha=59.63 beta=59.63 gamma=59.63
Element x y z (fractional)
Li: 0.000 0.500 0.500
Li: 0.500 0.000 0.500
Li: 0.500 0.500 0.000
Sc: 0.000 0.000 0.000
Sc: 0.000 0.000 0.500
Sc: 0.000 0.500 0.000
Sc: 0.500 0.000 0.000
Sc: 0.500 0.500 0.500
Se: 0.248 0.248 0.248
Se: 0.250 0.250 0.749
Se: 0.250 0.749 0.250
Se: 0.251 0.750 0.750
Se: 0.749 0.250 0.250
Se: 0.750 0.251 0.750
Se: 0.750 0.750 0.251
Se: 0.752 0.752 0.752

Largest 10 diffraction maxima, in order of rising 2θ, 2θ = 10–80°:
2θ = 28.11°, intensity 10; 2θ = 28.33°, intensity 30; 2θ = 32.76°, intensity 100; 2θ = 46.87°, intensity 35; 2θ = 47.15°, intensity 35; 2θ = 55.80°, intensity 9; 2θ = 58.60°, intensity 18; 2θ = 68.67°, intensity 11; 2θ = 77.99°, intensity 15; 2θ = 78.40°, intensity 15

***

Record 14
Diffraction record for LiScTe2Se. The X-ray powder pattern is computed, not measured: it uses a DFT-relaxed cell (GGA-PBE, Alexandria) and λ = 1.5418 Å (Cu Kα).

Structure:
Unit cell a=5.878 b=5.878 c=4.842 alpha=90.00 beta=90.00 gamma=90.00
Element x y z (fractional)
Li: 0.000 0.000 0.000
Sc: 0.500 0.500 0.000
Te: 0.000 0.500 0.500
Te: 0.500 0.000 0.500
Se: 0.500 0.500 0.500

Largest 10 diffraction maxima, in order of rising 2θ, 2θ = 10–80°:
2θ = 15.07°, intensity 57; 2θ = 18.32°, intensity 93; 2θ = 28.30°, intensity 81; 2θ = 30.42°, intensity 100; 2θ = 35.74°, intensity 70; 2θ = 37.14°, intensity 29; 2θ = 43.55°, intensity 37; 2θ = 47.62°, intensity 31; 2θ = 48.73°, intensity 52; 2θ = 58.54°, intensity 30

***

Record 15
Diffraction record for Li3YSc2Se6. The X-ray powder pattern is computed, not measured: it uses a DFT-relaxed cell (GGA-PBE, Alexandria) and λ = 1.5418 Å (Cu Kα).

Structure:
Unit cell a=6.821 b=6.821 c=6.832 alpha=99.59 beta=99.59 gamma=120.01
Element x y z (fractional)
Li: 0.000 0.000 0.000
Li: 0.334 0.666 0.000
Li: 0.666 0.334 0.000
Y: 0.500 0.500 0.500
Sc: 0.167 0.833 0.500
Sc: 0.833 0.167 0.500
Se: 0.072 0.418 0.254
Se: 0.237 0.237 0.747
Se: 0.418 0.072 0.254
Se: 0.582 0.928 0.746
Se: 0.763 0.763 0.253
Se: 0.928 0.582 0.746

Largest 10 diffraction maxima, in order of rising 2θ, 2θ = 10–80°:
2θ = 13.75°, intensity 19; 2θ = 26.54°, intensity 10; 2θ = 27.73°, intensity 34; 2θ = 32.13°, intensity 100; 2θ = 46.07°, intensity 70; 2θ = 54.63°, intensity 13; 2θ = 57.26°, intensity 18; 2θ = 57.32°, intensity 6; 2θ = 67.20°, intensity 11; 2θ = 76.44°, intensity 25